Entry 1:
This entry pairs a crystal structure of Na4Hg7Bi with its calculated powder diffractogram. Radiation: Cu Ka. Structure: a PBE-relaxed structure.
Kinematic intensities with the Lorentz-polarization factor, no thermal factor.

Atomic structure:
Cell: 6.290 6.360 9.127 Å, 87.54 87.56 62.38°
Fractional coordinates of all 12 atoms:
Na: 0.111 0.399 0.319
Na: 0.317 0.704 0.851
Na: 0.683 0.296 0.149
Na: 0.889 0.601 0.681
Hg: 0.000 0.000 0.500
Hg: 0.215 0.245 0.976
Hg: 0.225 0.838 0.185
Hg: 0.367 0.101 0.652
Hg: 0.633 0.899 0.348
Hg: 0.775 0.162 0.815
Hg: 0.785 0.755 0.024
Bi: 0.500 0.500 0.500

The 8 most intense peaks (10° ≤ 2θ ≤ 90°), low angle first:
2theta  I_rel
15.73  48
18.71  71
33.09  79
33.16  82
33.39  68
33.54  97
33.69  100
34.58  90

Entry 2:
This entry pairs a crystal structure of Na6Hg8Bi with its calculated powder diffractogram. Radiation: Cu Ka. Structure: a PBE-relaxed structure.
Kinematic intensities with the Lorentz-polarization factor, no thermal factor.

Atomic structure:
Cell: 7.409 8.084 8.466 Å, 74.60 88.74 66.09°
Fractional coordinates of all 15 atoms:
Na: 0.085 0.219 0.215
Na: 0.260 0.453 0.450
Na: 0.407 0.882 0.880
Na: 0.593 0.118 0.120
Na: 0.740 0.547 0.550
Na: 0.915 0.781 0.785
Hg: 0.046 0.115 0.602
Hg: 0.170 0.333 0.828
Hg: 0.280 0.550 0.060
Hg: 0.381 0.790 0.268
Hg: 0.619 0.210 0.732
Hg: 0.720 0.450 0.940
Hg: 0.830 0.667 0.172
Hg: 0.954 0.885 0.398
Bi: 0.500 0.000 0.500

The 8 most intense peaks (10° ≤ 2θ ≤ 90°), low angle first:
2theta  I_rel
18.78  100
27.61  82
33.38  69
33.83  66
38.09  25
38.17  23
45.18  22
56.95  22

Entry 3:
This entry pairs a crystal structure of NaHg2Bi with its calculated powder diffractogram. Radiation: Cu Ka. Structure: a PBE-relaxed structure.
Kinematic intensities with the Lorentz-polarization factor, no thermal factor.

Atomic structure:
Cell: 3.572 3.572 30.458 Å, 90.00 90.00 120.00°
Fractional coordinates of all 12 atoms:
Na: 0.000 0.000 0.000
Na: 0.333 0.667 0.667
Na: 0.667 0.333 0.333
Hg: 0.000 0.000 0.412
Hg: 0.000 0.000 0.589
Hg: 0.333 0.667 0.078
Hg: 0.333 0.667 0.255
Hg: 0.667 0.333 0.745
Hg: 0.667 0.333 0.922
Bi: 0.000 0.000 0.834
Bi: 0.333 0.667 0.500
Bi: 0.667 0.333 0.167

The 8 most intense peaks (10° ≤ 2θ ≤ 90°), low angle first:
2theta  I_rel
29.01  36
31.21  53
32.46  100
35.36  34
35.61  58
51.14  40
59.63  20
63.71  38

Entry 4:
This entry pairs a crystal structure of Na4HgBi with its calculated powder diffractogram. Radiation: Cu Ka. Structure: a PBE-relaxed structure.
Kinematic intensities with the Lorentz-polarization factor, no thermal factor.

Atomic structure:
Cell: 8.601 9.213 5.303 Å, 90.00 127.43 90.00°
Fractional coordinates of all 12 atoms:
Na: 0.248 0.165 0.248
Na: 0.248 0.835 0.248
Na: 0.252 0.335 0.752
Na: 0.252 0.665 0.752
Na: 0.748 0.335 0.248
Na: 0.748 0.665 0.248
Na: 0.752 0.165 0.752
Na: 0.752 0.835 0.752
Hg: 0.000 0.000 0.500
Hg: 0.500 0.500 0.500
Bi: 0.000 0.500 0.000
Bi: 0.500 0.000 0.000

The 8 most intense peaks (10° ≤ 2θ ≤ 90°), low angle first:
2theta  I_rel
19.30  100
26.09  12
32.51  31
32.64  31
32.82  31
33.75  52
39.17  18
59.49  17

Entry 5:
This entry pairs a crystal structure of NaHg4Bi with its calculated powder diffractogram. Radiation: Cu Ka. Structure: a PBE-relaxed structure.
Kinematic intensities with the Lorentz-polarization factor, no thermal factor.

Atomic structure:
Cell: 3.793 5.451 16.816 Å, 90.00 96.11 90.00°
Fractional coordinates of all 12 atoms:
Na: 0.088 0.000 0.171
Na: 0.912 0.500 0.829
Hg: 0.021 0.500 0.034
Hg: 0.169 0.498 0.340
Hg: 0.258 0.000 0.512
Hg: 0.321 0.499 0.648
Hg: 0.679 0.999 0.352
Hg: 0.742 0.500 0.488
Hg: 0.831 0.998 0.660
Hg: 0.979 0.000 0.966
Bi: 0.408 0.000 0.814
Bi: 0.592 0.500 0.186

The 8 most intense peaks (10° ≤ 2θ ≤ 90°), low angle first:
2theta  I_rel
17.11  36
31.63  30
31.77  32
32.12  43
32.86  74
34.30  100
34.47  97
46.61  31

Entry 6:
This entry pairs a crystal structure of Na3Hg2Bi5 with its calculated powder diffractogram. Radiation: Cu Ka. Structure: a PBE-relaxed structure.
Kinematic intensities with the Lorentz-polarization factor, no thermal factor.

Atomic structure:
Cell: 10.811 10.811 10.811 Å, 106.67 84.70 143.66°
Fractional coordinates of all 20 atoms:
Na: 0.111 0.744 0.855
Na: 0.250 0.250 0.000
Na: 0.389 0.244 0.633
Na: 0.611 0.756 0.367
Na: 0.750 0.750 0.000
Na: 0.889 0.256 0.145
Hg: 0.086 0.169 0.255
Hg: 0.414 0.669 0.083
Hg: 0.586 0.331 0.917
Hg: 0.914 0.831 0.745
Bi: 0.048 0.250 0.798
Bi: 0.150 0.390 0.540
Bi: 0.250 0.750 0.500
Bi: 0.350 0.890 0.239
Bi: 0.452 0.250 0.202
Bi: 0.548 0.750 0.798
Bi: 0.650 0.110 0.761
Bi: 0.750 0.250 0.500
Bi: 0.850 0.610 0.460
Bi: 0.952 0.750 0.202

The 8 most intense peaks (10° ≤ 2θ ≤ 90°), low angle first:
2theta  I_rel
13.72  40
18.54  100
26.63  38
29.90  43
32.18  65
34.82  40
38.62  43
52.91  29

Entry 7:
This entry pairs a crystal structure of Na2Hg4Bi with its calculated powder diffractogram. Radiation: Cu Ka. Structure: a PBE-relaxed structure.
Kinematic intensities with the Lorentz-polarization factor, no thermal factor.

Atomic structure:
Cell: 6.767 6.767 10.897 Å, 90.00 90.00 54.10°
Fractional coordinates of all 14 atoms:
Na: 0.155 0.155 0.000
Na: 0.345 0.345 0.500
Na: 0.655 0.655 0.500
Na: 0.845 0.845 0.000
Hg: 0.008 0.492 0.750
Hg: 0.183 0.817 0.772
Hg: 0.317 0.683 0.272
Hg: 0.492 0.008 0.250
Hg: 0.508 0.992 0.750
Hg: 0.683 0.317 0.728
Hg: 0.817 0.183 0.228
Hg: 0.992 0.508 0.250
Bi: 0.000 0.000 0.500
Bi: 0.500 0.500 0.000

The 8 most intense peaks (10° ≤ 2θ ≤ 90°), low angle first:
2theta  I_rel
16.27  93
29.65  77
32.88  63
33.44  100
33.72  26
34.00  44
44.85  45
45.29  72

Entry 8:
This entry pairs a crystal structure of Na6Hg10Bi with its calculated powder diffractogram. Radiation: Cu Ka. Structure: a PBE-relaxed structure.
Kinematic intensities with the Lorentz-polarization factor, no thermal factor.

Atomic structure:
Cell: 9.181 9.181 6.274 Å, 90.00 90.00 120.00°
Fractional coordinates of all 17 atoms:
Na: 0.000 0.368 0.279
Na: 0.000 0.632 0.721
Na: 0.368 0.000 0.279
Na: 0.368 0.368 0.721
Na: 0.632 0.000 0.721
Na: 0.632 0.632 0.279
Hg: 0.000 0.291 0.795
Hg: 0.000 0.709 0.205
Hg: 0.291 0.000 0.795
Hg: 0.291 0.291 0.205
Hg: 0.333 0.667 0.000
Hg: 0.333 0.667 0.500
Hg: 0.667 0.333 0.000
Hg: 0.667 0.333 0.500
Hg: 0.709 0.000 0.205
Hg: 0.709 0.709 0.795
Bi: 0.000 0.000 0.500

The 8 most intense peaks (10° ≤ 2θ ≤ 90°), low angle first:
2theta  I_rel
24.02  72
33.05  26
33.82  87
34.63  100
49.19  33
61.04  31
69.66  12
81.62  15

Entry 9:
This entry pairs a crystal structure of Na6HgBi5 with its calculated powder diffractogram. Radiation: Cu Ka. Structure: a PBE-relaxed structure.
Kinematic intensities with the Lorentz-polarization factor, no thermal factor.

Atomic structure:
Cell: 7.669 7.669 9.734 Å, 90.00 90.00 143.12°
Fractional coordinates of all 12 atoms:
Na: 0.000 0.000 0.247
Na: 0.000 0.000 0.753
Na: 0.331 0.669 0.248
Na: 0.331 0.669 0.752
Na: 0.669 0.331 0.248
Na: 0.669 0.331 0.752
Hg: 0.500 0.500 0.000
Bi: 0.165 0.835 0.000
Bi: 0.167 0.833 0.500
Bi: 0.500 0.500 0.500
Bi: 0.833 0.167 0.500
Bi: 0.835 0.165 0.000

The 8 most intense peaks (10° ≤ 2θ ≤ 90°), low angle first:
2theta  I_rel
18.23  58
25.98  51
31.92  100
37.07  34
41.60  31
45.71  24
53.36  36
63.60  28

Entry 10:
This entry pairs a crystal structure of Na2Hg2Bi2Pb3 with its calculated powder diffractogram. Radiation: Cu Ka. Structure: a PBE-relaxed structure.
Kinematic intensities with the Lorentz-polarization factor, no thermal factor.

Atomic structure:
Cell: 9.653 9.653 9.653 Å, 143.84 143.84 52.06°
Fractional coordinates of all 9 atoms:
Na: 0.113 0.113 0.000
Na: 0.887 0.887 0.000
Hg: 0.000 0.500 0.500
Hg: 0.500 0.000 0.500
Bi: 0.318 0.318 0.000
Bi: 0.682 0.682 0.000
Pb: 0.250 0.750 0.500
Pb: 0.500 0.500 0.000
Pb: 0.750 0.250 0.500

The 8 most intense peaks (10° ≤ 2θ ≤ 90°), low angle first:
2theta  I_rel
15.65  35
20.48  35
29.48  35
29.81  100
36.46  34
42.67  48
47.08  19
70.26  18

Entry 11:
This entry pairs a crystal structure of Na3Hg2Bi4Pd2 with its calculated powder diffractogram. Radiation: Cu Ka. Structure: a PBE-relaxed structure.
Kinematic intensities with the Lorentz-polarization factor, no thermal factor.

Atomic structure:
Cell: 5.039 5.039 13.297 Å, 90.00 90.00 120.00°
Fractional coordinates of all 11 atoms:
Na: 0.000 0.000 0.000
Na: 0.000 0.000 0.294
Na: 0.000 0.000 0.706
Hg: 0.333 0.667 0.111
Hg: 0.667 0.333 0.889
Bi: 0.333 0.667 0.415
Bi: 0.333 0.667 0.836
Bi: 0.667 0.333 0.164
Bi: 0.667 0.333 0.585
Pd: 0.333 0.667 0.622
Pd: 0.667 0.333 0.378

The 8 most intense peaks (10° ≤ 2θ ≤ 90°), low angle first:
2theta  I_rel
20.35  72
26.82  30
28.71  50
33.90  34
35.63  100
39.69  17
45.15  45
64.00  19

Entry 12:
This entry pairs a crystal structure of RbNa2Hg2Bi2 with its calculated powder diffractogram. Radiation: Cu Ka. Structure: a PBE-relaxed structure.
Kinematic intensities with the Lorentz-polarization factor, no thermal factor.

Atomic structure:
Cell: 10.608 10.608 10.608 Å, 28.87 28.87 28.87°
Fractional coordinates of all 7 atoms:
Rb: 0.000 0.000 0.000
Na: 0.137 0.137 0.137
Na: 0.863 0.863 0.863
Hg: 0.428 0.428 0.428
Hg: 0.572 0.572 0.572
Bi: 0.247 0.247 0.247
Bi: 0.753 0.753 0.753

The 8 most intense peaks (10° ≤ 2θ ≤ 90°), low angle first:
2theta  I_rel
17.46  80
22.65  38
24.31  34
28.28  41
33.90  100
35.36  36
38.37  71
49.78  47